Li6MnFe5B6O18: calculated XRD peak list (λ = 1.5418 Å (Cu Kα)), based on a DFT-relaxed cell (GGA+U, the Materials Project).

Largest 6 diffraction maxima, in order of rising 2θ, 10° ≤ 2θ ≤ 80°:
2theta	d_spacing	I_rel	(hkl)
21.55	4.123	100	2 0 -2
35.96	2.497	78	2 2 -2
37.80	2.380	31	6 0 -3
47.97	1.897	27	6 2 0
53.16	1.723	24	4 2 -4
54.81	1.675	17	6 2 1

a = 16.476 Å, b = 6.277 Å, c = 8.245 Å
α = 90.00°, β = 119.90°, γ = 90.00°
Space group Cm (No. 8)
One atom of each set of equivalent atoms:
Li1 0.000 0.249 0.000
Li2 0.134 0.250 0.588
Li3 0.293 0.250 0.318
Mn1 0.456 0.000 0.289
Fe1 0.146 0.500 0.943
Fe2 0.147 0.000 0.942
Fe3 0.322 0.000 0.670
Fe4 0.322 0.500 0.669
Fe5 0.458 0.500 0.294
B1 0.142 0.000 0.302
B2 0.143 0.500 0.304
B3 0.308 0.251 0.967
B4 0.476 0.252 0.636
O1 0.073 0.250 0.744
O2 0.088 0.000 0.108
O3 0.088 0.500 0.110
O4 0.100 0.000 0.411
O5 0.103 0.500 0.416
O6 0.240 0.000 0.387
O7 0.240 0.500 0.386
O8 0.251 0.250 0.047
O9 0.269 0.249 0.774
O10 0.405 0.253 0.081
O11 0.421 0.250 0.722
O12 0.433 0.254 0.443